Structure and calculated XRD peak list of Sm5Zn4Hg (a crystal structure in Alexandria, relaxed with GGA-PBE; Cu Kα (weighted mean of Kα1 and Kα2)).
Neutral-atom scattering factors, no anomalous dispersion.

Cell and atoms:
Cell: 3.658 3.658 18.494 Å, 90.00 90.00 90.00°
Space group P4/mmm (No. 123)
Asymmetric unit:
Sm: 0.000 0.000 0.000 [1 per cell]
Sm: 0.000 0.000 0.196 [2 per cell]
Sm: 0.000 0.000 0.389 [2 per cell]
Zn: 0.500 0.500 0.098 [2 per cell]
Zn: 0.500 0.500 0.293 [2 per cell]
Hg: 0.500 0.500 0.500 [1 per cell]

Peak list (8 most intense, 5° ≤ 2θ ≤ 70°, in order of rising 2θ)
2θ 24.33, intensity 6
2θ 31.18, intensity 4
2θ 34.48, intensity 100
2θ 34.68, intensity 51
2θ 49.27, intensity 9
2θ 49.85, intensity 18
2θ 61.65, intensity 17
2θ 62.03, intensity 36